No. 1
Starting from DFT lattice parameters and positions (GGA-PBE), the powder X-ray diffraction pattern of BaZnSeO was calculated for λ = 1.5418 Å (Cu Kα).
Lines closer than 0.1° are merged.

Most intense lines, 10° ≤ 2θ ≤ 80°, by angle:
2θ (°)	Rel. int.	index
26.6	48	0 1 2
28.0	45	2 0 1
28.4	15	1 2 0
29.5	31	1 1 2
30.8	100	2 1 1
37.1	21	1 2 2
39.9	16	1 1 3
47.3	18	1 3 2
48.2	21	3 2 1
56.5	16	1 2 4

Atomic structure:
```
16
Lattice="7.024 0.000 0.000 0.000 7.043 0.000 0.000 0.000 7.615" Properties=species:S:1:pos:R:3 pbc="T T T"
Ba 0.800 0.533 2.858
Ba 2.712 6.510 6.666
Ba 4.312 2.988 4.756
Ba 6.224 4.055 0.949
Zn 0.947 2.380 5.717
Zn 2.565 4.663 1.909
Zn 4.459 1.142 1.898
Zn 6.077 5.901 5.705
Se 0.851 4.591 4.706
Se 2.661 2.452 0.899
Se 4.363 5.973 2.908
Se 6.173 1.070 6.716
O 1.220 5.686 1.094
O 2.292 1.357 4.901
O 4.732 4.878 6.521
O 5.804 2.165 2.714
```

No. 2
Starting from DFT lattice parameters and positions (GGA-PBE), the powder X-ray diffraction pattern of BaZnSeO was calculated for λ = 1.5418 Å (Cu Kα).
Lines closer than 0.1° are merged.

Most intense lines, 10° ≤ 2θ ≤ 80°, by angle:
2θ (°)	Rel. int.	index
17.9	34	1 1 1
23.8	25	0 2 1
24.1	46	2 0 0
30.0	74	1 0 4
30.8	26	0 2 3
33.2	100	1 2 3
34.1	75	2 2 1
48.4	25	3 2 3
56.1	32	1 2 7
56.4	25	1 4 4

Atomic structure:
```
32
Lattice="7.396 0.000 0.000 0.000 7.800 0.000 0.000 0.000 13.036" Properties=species:S:1:pos:R:3 pbc="T T T"
Ba 1.795 0.828 2.651
Ba 1.795 3.072 9.169
Ba 1.903 4.728 2.651
Ba 1.903 6.971 9.169
Ba 5.493 0.828 3.867
Ba 5.493 3.072 10.384
Ba 5.601 4.728 3.867
Ba 5.601 6.971 10.384
Zn 0.696 5.072 11.974
Zn 0.696 6.627 5.456
Zn 3.002 1.172 11.974
Zn 3.002 2.727 5.456
Zn 4.394 5.072 7.580
Zn 4.394 6.627 1.062
Zn 6.700 1.172 7.580
Zn 6.700 2.727 1.062
Se 1.516 0.996 6.324
Se 1.516 2.903 12.842
Se 2.182 4.896 6.324
Se 2.182 6.803 12.842
Se 5.214 0.996 0.194
Se 5.214 2.903 6.712
Se 5.881 4.896 0.194
Se 5.881 6.803 6.712
O 0.221 5.111 10.110
O 0.221 6.589 3.592
O 3.477 1.211 10.110
O 3.477 2.689 3.592
O 3.919 5.111 9.444
O 3.919 6.589 2.926
O 7.175 1.211 9.444
O 7.175 2.689 2.926
```

No. 3
Starting from DFT lattice parameters and positions (GGA-PBE), the powder X-ray diffraction pattern of Ba3Ta6Si4O23 was calculated for λ = 1.5418 Å (Cu Kα).
Lines closer than 0.1° are merged.

Most intense lines, 10° ≤ 2θ ≤ 80°, by angle:
2θ (°)	Rel. int.	index
11.2	31	1 0 0
19.5	42	1 1 0
23.6	30	0 0 2
26.2	31	1 0 2
30.0	100	2 1 0
30.8	76	1 1 2
32.9	34	2 0 2
38.6	37	2 1 2
56.5	25	3 2 2
58.0	34	2 1 4

Atomic structure:
```
36
Lattice="9.087 0.000 0.000 -4.544 7.870 0.000 0.000 0.000 7.527" Properties=species:S:1:pos:R:3 pbc="T T T"
Ba -2.683 4.647 0.000
Ba 1.861 3.223 0.000
Ba 5.366 0.000 0.000
Ta -1.081 1.872 1.858
Ta -1.081 1.872 5.670
Ta 2.161 0.000 1.858
Ta 2.161 0.000 5.670
Ta 3.463 5.998 1.858
Ta 3.463 5.998 5.670
Si 0.000 5.247 2.163
Si 0.000 5.247 5.364
Si 4.544 2.623 2.163
Si 4.544 2.623 5.364
O -1.273 2.205 3.764
O -3.753 6.500 1.746
O -3.753 6.500 5.781
O 0.791 1.370 1.746
O 0.791 1.370 5.781
O -0.514 3.818 1.571
O -0.514 3.818 5.956
O 2.547 0.000 3.764
O -0.980 6.407 1.571
O -0.980 6.407 5.956
O 0.000 5.247 3.764
O 3.564 1.463 1.571
O 3.564 1.463 5.956
O 1.494 5.516 1.571
O 1.494 5.516 5.956
O 4.544 2.623 3.764
O 4.029 4.052 1.571
O 4.029 4.052 5.956
O 3.270 5.665 3.764
O 6.038 2.354 1.571
O 6.038 2.354 5.956
O 7.505 0.000 1.746
O 7.505 0.000 5.781
```